No. 1
This entry pairs a crystal structure of Na2CoP2O7 with its computed X-ray powder pattern. Radiation: λ = 1.5418 Å (Cu Kα). Structure: a cell relaxed with GGA+U.
Neutral-atom scattering factors, no anomalous dispersion.

Main lines, in order of rising 2θ (10 to 90 degrees two-theta):
2θ (°), d/Å, I_rel
17.22, 5.148, 77
23.54, 3.779, 38
25.30, 3.520, 33
28.55, 3.127, 51
30.77, 2.906, 100
36.09, 2.489, 40
36.72, 2.448, 24
38.52, 2.337, 18
40.24, 2.241, 23
51.04, 1.789, 49

```
data_Na2CoP2O7
_cell_length_a 7.871
_cell_length_b 7.871
_cell_length_c 5.148
_cell_angle_alpha 90.00
_cell_angle_beta 90.00
_cell_angle_gamma 90.00
_space_group_name_H-M_alt 'P -4 21 m'
_space_group_IT_number 113
loop_
_space_group_symop_operation_xyz
'x,y,z'
'y,-x,-z'
'-x,-y,z'
'-y,x,-z'
'x+1/2,-y+1/2,-z'
'y+1/2,x+1/2,z'
'-x+1/2,y+1/2,-z'
'-y+1/2,-x+1/2,z'
loop_
_atom_site_label
_atom_site_type_symbol
_atom_site_fract_x
_atom_site_fract_y
_atom_site_fract_z
_atom_site_occupancy
Na1 Na 0.167 0.333 0.009 1
Co1 Co 0.000 0.000 0.500 1
P1 P 0.138 0.638 0.572 1
O1 O 0.000 0.500 0.683 1
O2 O 0.080 0.804 0.707 1
O3 O 0.140 0.640 0.279 1
```

***

No. 2
This entry pairs a crystal structure of Co3O2F4 with its computed X-ray powder pattern. Radiation: λ = 1.5418 Å (Cu Kα). Structure: a cell relaxed with GGA+U.
Neutral-atom scattering factors, no anomalous dispersion.

Main lines, in order of rising 2θ (10 to 90 degrees two-theta):
2θ (°), d/Å, I_rel
25.74, 3.462, 100
27.95, 3.193, 89
34.81, 2.577, 51
35.15, 2.553, 51
51.41, 1.777, 17
51.74, 1.767, 33
52.90, 1.731, 20
53.76, 1.705, 26
54.48, 1.684, 25
60.46, 1.531, 17

```
data_Co3O2F4
_cell_length_a 4.717
_cell_length_b 5.632
_cell_length_c 7.692
_cell_angle_alpha 85.73
_cell_angle_beta 86.69
_cell_angle_gamma 86.47
_space_group_name_H-M_alt 'P -1'
_space_group_IT_number 2
loop_
_space_group_symop_operation_xyz
'x,y,z'
'-x,-y,-z'
loop_
_atom_site_label
_atom_site_type_symbol
_atom_site_fract_x
_atom_site_fract_y
_atom_site_fract_z
_atom_site_occupancy
Co1 Co 0.000 0.000 0.000 1
Co2 Co 0.013 0.653 0.335 1
Co3 Co 0.483 0.178 0.342 1
Co4 Co 0.500 0.500 0.000 1
O1 O 0.179 0.378 0.441 1
O2 O 0.199 0.690 0.109 1
F1 F 0.198 0.046 0.757 1
F2 F 0.302 0.197 0.100 1
F3 F 0.302 0.872 0.434 1
F4 F 0.306 0.538 0.768 1
```

***

No. 3
This entry pairs a crystal structure of Ca4V5Te3O18 with its computed X-ray powder pattern. Radiation: λ = 1.5418 Å (Cu Kα). Structure: a cell relaxed with GGA+U.
Neutral-atom scattering factors, no anomalous dispersion.

Main lines, in order of rising 2θ (10 to 90 degrees two-theta):
2θ (°), d/Å, I_rel
19.73, 4.500, 87
20.45, 4.343, 63
26.68, 3.341, 54
27.13, 3.286, 30
30.29, 2.951, 100
31.32, 2.856, 52
32.12, 2.787, 33
32.31, 2.771, 51
44.01, 2.057, 28
56.95, 1.617, 27

```
data_Ca4V5Te3O18
_cell_length_a 15.032
_cell_length_b 10.457
_cell_length_c 11.526
_cell_angle_alpha 90.00
_cell_angle_beta 95.79
_cell_angle_gamma 90.00
_space_group_name_H-M_alt 'C 1 2 1'
_space_group_IT_number 5
loop_
_space_group_symop_operation_xyz
'x,y,z'
'-x,y,-z'
'x+1/2,y+1/2,z'
'-x+1/2,y+1/2,-z'
loop_
_atom_site_label
_atom_site_type_symbol
_atom_site_fract_x
_atom_site_fract_y
_atom_site_fract_z
_atom_site_occupancy
Ca1 Ca 0.048 0.000 0.294 1
Ca2 Ca 0.049 0.360 0.777 1
Ca3 Ca 0.207 0.530 0.601 1
Ca4 Ca 0.207 0.829 0.109 1
V1 V 0.000 0.575 0.500 1
V2 V 0.000 0.818 0.000 1
V3 V 0.143 0.522 0.055 1
V4 V 0.154 0.836 0.567 1
V5 V 0.161 0.955 0.819 1
V6 V 0.162 0.369 0.319 1
Te1 Te 0.001 0.688 0.257 1
Te2 Te 0.153 0.180 0.606 1
Te3 Te 0.156 0.173 0.106 1
O1 O 0.058 0.520 0.647 1
O2 O 0.062 0.833 0.170 1
O3 O 0.078 0.839 0.696 1
O4 O 0.083 0.222 0.232 1
O5 O 0.089 0.656 0.006 1
O6 O 0.091 0.105 0.737 1
O7 O 0.094 0.474 0.184 1
O8 O 0.103 0.685 0.506 1
O9 O 0.104 0.915 0.956 1
O10 O 0.107 0.431 0.430 1
O11 O 0.137 0.401 0.947 1
O12 O 0.142 0.950 0.452 1
O13 O 0.192 0.326 0.703 1
O14 O 0.203 0.035 0.198 1
O15 O 0.228 0.959 0.676 1
O16 O 0.236 0.244 0.408 1
O17 O 0.240 0.301 0.151 1
O18 O 0.247 0.083 0.911 1
```

***

No. 4
This entry pairs a crystal structure of BaNi4O8 with its computed X-ray powder pattern. Radiation: λ = 1.5418 Å (Cu Kα). Structure: a cell relaxed with GGA+U.
Neutral-atom scattering factors, no anomalous dispersion.

Main lines, in order of rising 2θ (10 to 90 degrees two-theta):
2θ (°), d/Å, I_rel
11.43, 7.739, 67
21.96, 4.048, 36
22.98, 3.870, 17
29.78, 3.000, 100
32.65, 2.742, 89
34.71, 2.584, 55
39.74, 2.268, 22
44.78, 2.024, 26
56.51, 1.629, 30
58.33, 1.582, 61

```
data_BaNi4O8
_cell_length_a 5.4845
_cell_length_b 5.4845
_cell_length_c 7.7391
_cell_angle_alpha 90.00
_cell_angle_beta 90.00
_cell_angle_gamma 120.00
_space_group_name_H-M_alt 'P -3 1 m'
_space_group_IT_number 162
_space_group_name_Hall '-P 3 2'
loop_
_atom_site_label
_atom_site_type_symbol
_atom_site_fract_x
_atom_site_fract_y
_atom_site_fract_z
_atom_site_occupancy
Ba1 Ba 0.0000 0.0000 0.0000 1
Ni1 Ni 0.3333 0.6667 0.2353 1
O1 O 0.0000 0.3598 0.2928 1
O2 O 0.3333 0.6667 0.0000 1
```

***

No. 5
This entry pairs a crystal structure of Ca2Mn2O5 with its computed X-ray powder pattern. Radiation: λ = 1.5418 Å (Cu Kα). Structure: a cell relaxed with GGA+U.
Neutral-atom scattering factors, no anomalous dispersion.

Main lines, in order of rising 2θ (10 to 90 degrees two-theta):
2θ (°), d/Å, I_rel
23.61, 3.768, 16
32.68, 2.740, 32
33.34, 2.687, 100
34.57, 2.594, 35
38.72, 2.325, 13
47.43, 1.917, 28
48.31, 1.884, 33
58.77, 1.571, 23
61.17, 1.515, 23
70.03, 1.344, 18

```
data_Ca2Mn2O5
_cell_length_a 5.480
_cell_length_b 10.377
_cell_length_c 3.834
_cell_angle_alpha 90.00
_cell_angle_beta 90.00
_cell_angle_gamma 90.00
_space_group_name_H-M_alt 'P b a m'
_space_group_IT_number 55
loop_
_space_group_symop_operation_xyz
'x,y,z'
'-x,-y,-z'
'-x,-y,z'
'x,y,-z'
'x+1/2,-y+1/2,-z'
'-x+1/2,y+1/2,z'
'-x+1/2,y+1/2,-z'
'x+1/2,-y+1/2,z'
loop_
_atom_site_label
_atom_site_type_symbol
_atom_site_fract_x
_atom_site_fract_y
_atom_site_fract_z
_atom_site_occupancy
Ca1 Ca 0.195 0.129 0.000 1
Mn1 Mn 0.221 0.379 0.500 1
O1 O 0.000 0.000 0.500 1
O2 O 0.082 0.710 0.500 1
O3 O 0.210 0.400 0.000 1
```